Computed powder XRD pattern
Compound: V6CrTc
Radiation: a wavelength of 1.5418 Å
Structure: a DFT-relaxed cell (PBE, Alexandria)
Intensities are scaled so that the largest is 100.

Peak list (12 most intense, 2θ from 10° to 90°, by angle)
4.763 Å, 2θ = 18.63°, intensity 9, hkl 1 0 0; 3.368 Å, 2θ = 26.47°, intensity 11, hkl 1 1 0; 2.750 Å, 2θ = 32.56°, intensity 4, hkl 1 1 1; 2.381 Å, 2θ = 37.78°, intensity 48, hkl 2 0 0; 2.130 Å, 2θ = 42.44°, intensity 87, hkl 2 1 0; 1.944 Å, 2θ = 46.72°, intensity 100, hkl 2 1 1; 1.588 Å, 2θ = 58.11°, intensity 3, hkl 3 0 0; 1.506 Å, 2θ = 61.58°, intensity 2, hkl 3 0 1; 1.375 Å, 2θ = 68.21°, intensity 3, hkl 2 2 2; 1.321 Å, 2θ = 71.41°, intensity 16, hkl 3 0 2; 1.273 Å, 2θ = 74.55°, intensity 45, hkl 3 2 1; 1.191 Å, 2θ = 80.70°, intensity 14, hkl 4 0 0

Lattice parameters (Å, degrees): 4.7626 4.7626 4.7626 90.00 90.00 90.00
Sites, in units of the cell vectors:
V 0.0000 0.2535 0.5000
V 0.0000 0.7465 0.5000
V 0.2535 0.5000 0.0000
V 0.5000 0.0000 0.2535
V 0.5000 0.0000 0.7465
V 0.7465 0.5000 0.0000
Cr 0.5000 0.5000 0.5000
Tc 0.0000 0.0000 0.0000